For KCeSnWO6, a cell relaxed with PBE+U gives the calculated PXRD pattern in this record (a wavelength of 1.5418 Å).

Structure:
Cell: 8.5072 8.5072 8.5072 Å, 90.00 90.00 90.00°
Space group F-43m (No. 216)
Inequivalent atoms, fractional coordinates:
1 K 0.0000 0.0000 0.0000 (multiplicity 4)
2 Ce 0.2500 0.2500 0.2500 (multiplicity 4)
3 Sn 0.0000 0.0000 0.5000 (multiplicity 4)
4 W 0.2500 0.2500 0.7500 (multiplicity 4)
5 O 0.0197 0.2500 0.7500 (multiplicity 24)

Main lines, sorted by position (10° ≤ 2θ ≤ 90°):
| hkl | 2θ (°) | intensity |
| --- | --- | --- |
| 2 0 0 | 20.88 | 223 |
| 2 2 0 | 29.70 | 1000 |
| 4 0 0 | 42.50 | 306 |
| 4 2 2 | 52.71 | 408 |
| 4 4 0 | 61.68 | 191 |
| 6 4 2 | 85.40 | 222 |